No. 1
Ba4MgFe4O10: simulated powder XRD pattern (Cu Kα (weighted mean of Kα1 and Kα2)), based on a cell relaxed with GGA+U.
Peak positions follow from Bragg's law for the DFT cell and can differ from measured ones.

Top 8 peaks for 10 to 90 degrees two-theta, low angle first:
- 2θ 21.70, d = 4.096 Å, I = 25, hkl 1 -1 0
- 2θ 29.06, d = 3.073 Å, I = 100, hkl 1 1 -3
- 2θ 30.21, d = 2.959 Å, I = 26, hkl 0 2 -1
- 2θ 31.53, d = 2.837 Å, I = 29, hkl 2 0 -1
- 2θ 36.35, d = 2.471 Å, I = 37, hkl 1 1 2
- 2θ 44.23, d = 2.048 Å, I = 26, hkl 2 2 -2
- 2θ 52.95, d = 1.729 Å, I = 15, hkl -1 3 1
- 2θ 54.62, d = 1.680 Å, I = 12, hkl -3 1 3

Structural model:
```
Ba4MgFe4O10
1.0
5.6741 0.0000 0.0000
-0.0094 5.9175 0.0000
-2.8172 -2.9628 9.2967
Ba Mg Fe O
4 1 4 10
Direct
0.0000 0.0000 0.0000
0.2021 0.2275 0.4106
0.4813 0.5045 0.9656
0.6869 0.6881 0.3759
0.6843 0.6485 0.6881
0.0921 0.6016 0.1862
0.2789 0.9105 0.6882
0.5937 0.1033 0.1896
0.7660 0.2114 0.6877
0.3414 0.3510 0.1842
0.3452 0.8563 0.1939
0.3556 0.6893 0.5348
0.4175 0.2064 0.6875
0.5087 0.8445 0.8421
0.7385 0.3319 0.5321
0.8389 0.3506 0.1817
0.8454 0.8551 0.1919
0.8924 0.4878 0.8435
0.9264 0.9165 0.6881
```

***

No. 2
Ba2MgFeReO6: simulated powder XRD pattern (Cu Kα (weighted mean of Kα1 and Kα2)), based on a cell relaxed with GGA+U.
Peak positions follow from Bragg's law for the DFT cell and can differ from measured ones.

Top 8 peaks for 10 to 90 degrees two-theta, low angle first:
- 2θ 17.76, d = 4.993 Å, I = 15, hkl 0 1 0
- 2θ 17.91, d = 4.953 Å, I = 27, hkl 1 0 0
- 2θ 27.80, d = 3.209 Å, I = 25, hkl 1 1 2
- 2θ 29.69, d = 3.009 Å, I = 100, hkl 2 1 1
- 2θ 32.16, d = 2.783 Å, I = 50, hkl 1 0 2
- 2θ 32.47, d = 2.758 Å, I = 24, hkl 0 1 2
- 2θ 40.93, d = 2.205 Å, I = 18, hkl 2 2 0
- 2θ 52.73, d = 1.736 Å, I = 13, hkl 3 3 2

Structural model:
```
Ba2MgFeReO6
1.0
6.0094 0.0000 0.0000
3.0039 5.2188 0.0000
2.9969 1.6606 5.4632
Ba Mg Fe Re O
2 1 1 1 6
Direct
0.0000 0.0000 0.0000
0.4364 0.4276 0.6990
0.7941 0.7890 0.6222
0.6290 0.6249 0.1173
0.2174 0.2121 0.3528
0.4469 0.9808 0.5826
0.4505 0.9856 0.1105
0.4516 0.4423 0.1186
0.9859 0.9846 0.5811
0.9875 0.4388 0.5886
0.9884 0.4463 0.1171
```

***

No. 3
BaSrMgFe4O8: simulated powder XRD pattern (Cu Kα (weighted mean of Kα1 and Kα2)), based on a cell relaxed with GGA+U.
Peak positions follow from Bragg's law for the DFT cell and can differ from measured ones.

Top 8 peaks for 10 to 90 degrees two-theta, low angle first:
- 2θ 24.64, d = 3.612 Å, I = 35, hkl 1 0 2
- 2θ 30.63, d = 2.919 Å, I = 100, hkl 1 0 3
- 2θ 32.54, d = 2.751 Å, I = 81, hkl 1 1 0
- 2θ 33.56, d = 2.670 Å, I = 36, hkl 2 -1 1
- 2θ 45.29, d = 2.002 Å, I = 33, hkl 2 0 3
- 2θ 56.88, d = 1.619 Å, I = 33, hkl 2 1 3
- 2θ 58.07, d = 1.589 Å, I = 23, hkl 3 0 0
- 2θ 60.38, d = 1.533 Å, I = 28, hkl 2 -1 6

Structural model:
```
BaSrMgFe4O8
1.0
5.5028 0.0000 0.0000
-2.7514 4.7655 0.0000
0.0000 0.0000 11.0776
Ba Sr Mg Fe O
1 1 1 4 8
Direct
0.0000 0.0000 0.0000
0.0000 0.0000 0.3523
0.0000 0.0000 0.6928
0.3333 0.6667 0.1643
0.3333 0.6667 0.8226
0.6667 0.3333 0.1643
0.6667 0.3333 0.8226
0.0000 0.3392 0.2227
0.0000 0.6790 0.7727
0.3210 0.3210 0.7727
0.3333 0.6667 0.9947
0.3392 0.0000 0.2227
0.6608 0.6608 0.2227
0.6667 0.3333 0.9947
0.6790 0.0000 0.7727
```